Computed powder X-ray diffraction pattern
Compound: KPt2O3
Radiation: λ = 1.5418 Å (Cu Kα)
Structure: a structure optimized by DFT (PBE)
Intensities are scaled so that the largest is 100.

Cell and atoms:
```
data_KPt2O3
_symmetry_space_group_name_H-M 'P 1'
_symmetry_Int_Tables_number 1
_symmetry_space_group_name_Hall 'P 1'
_cell_length_a 6.997
_cell_length_b 6.997
_cell_length_c 6.997
_cell_angle_alpha 53.98
_cell_angle_beta 53.98
_cell_angle_gamma 53.98
loop_
_atom_site_label
_atom_site_fract_x
_atom_site_fract_y
_atom_site_fract_z
_atom_site_occupancy
K1 0.177 0.177 0.177 1
K2 0.823 0.823 0.823 1
Pt1 0.000 0.000 0.000 1
Pt2 0.000 0.500 0.500 1
Pt3 0.500 0.000 0.500 1
Pt4 0.500 0.500 0.000 1
O1 0.221 0.221 0.718 1
O2 0.221 0.718 0.221 1
O3 0.282 0.779 0.779 1
O4 0.718 0.221 0.221 1
O5 0.779 0.282 0.779 1
O6 0.779 0.779 0.282 1
```

Peak list (8 most intense, 2θ from 10° to 80°, in order of rising 2θ)
| Position (°2θ) | I_rel |
| --- | --- |
| 14.9 | 100 |
| 30.0 | 22 |
| 33.0 | 50 |
| 34.1 | 29 |
| 38.4 | 36 |
| 41.4 | 25 |
| 48.7 | 20 |
| 60.3 | 16 |